# 1
Structure and computed powder diffractogram of Mo3WSe4S4 (the GGA-PBE geometry in the Materials Project; Cu Kα (weighted mean of Kα1 and Kα2)).
Peak positions follow from Bragg's law for the DFT cell and can differ from measured ones.

Structure:
```
12
Lattice="3.254 0.000 0.000 -1.627 2.818 0.000 0.000 0.000 36.874" Properties=species:S:1:pos:R:3 pbc="T T T"
Mo 0.000 0.000 0.000
Mo 0.000 0.000 13.855
Mo 0.000 1.879 6.926
W 0.000 1.879 20.783
Se 0.000 0.000 5.229
Se 0.000 0.000 8.626
Se 0.000 1.879 12.157
Se 0.000 1.879 15.555
S 0.000 0.000 19.233
S 0.000 0.000 22.333
S 0.000 1.879 1.545
S 0.000 1.879 35.329
```

Peak list (6 most intense, 2θ from 5° to 70°, by intensity)
two_theta	d (Å)	I/Imax
12.0	7.375	100
37.4	2.404	66
45.4	1.999	41
31.8	2.815	41
7.2	12.291	26
56.6	1.627	24

# 2
Structure and computed powder diffractogram of PuAg3 (the GGA-PBE geometry in the Materials Project; Cu Kα (weighted mean of Kα1 and Kα2)).
Peak positions follow from Bragg's law for the DFT cell and can differ from measured ones.

Structure:
```
4
Lattice="0.000 3.543 3.543 3.543 0.000 3.543 3.543 3.543 0.000" Properties=species:S:1:pos:R:3 pbc="T T T"
Pu 0.000 0.000 0.000
Ag 1.771 1.771 1.771
Ag 3.543 3.543 3.543
Ag 5.314 5.314 5.314
```

Peak list (6 most intense, 2θ from 5° to 70°, by intensity)
two_theta	d (Å)	I/Imax
35.8	2.505	100
64.4	1.446	35
51.6	1.771	17
21.7	4.091	10
42.3	2.136	6
25.1	3.543	5

# 3
Structure and computed powder diffractogram of Dy2Fe17CN (the GGA-PBE geometry in the Materials Project; Cu Kα (weighted mean of Kα1 and Kα2)).
Peak positions follow from Bragg's law for the DFT cell and can differ from measured ones.

Structure:
```
21
Lattice="6.437 0.000 0.000 0.809 6.408 0.000 0.736 0.635 6.438" Properties=species:S:1:pos:R:3 pbc="T T T"
Dy 1.283 1.076 1.031
Dy 6.698 5.967 5.407
Fe 0.772 3.521 3.219
Fe 1.632 4.249 1.026
Fe 1.607 1.418 4.169
Fe 2.336 5.397 3.233
Fe 2.358 3.724 5.052
Fe 3.559 5.946 5.415
Fe 3.221 2.848 2.604
Fe 3.586 0.317 3.219
Fe 3.970 1.894 5.034
Fe 3.623 3.204 0.000
Fe 4.011 5.149 1.404
Fe 4.760 4.195 3.835
Fe 4.422 1.097 1.024
Fe 5.623 3.319 1.387
Fe 5.645 1.646 3.206
Fe 6.374 5.624 2.270
Fe 6.350 2.794 5.412
C 0.404 3.204 0.000
N 3.219 0.000 0.000
```

Peak list (6 most intense, 2θ from 5° to 70°, by intensity)
two_theta	d (Å)	I/Imax
42.5	2.125	100
43.6	2.074	80
41.8	2.162	48
41.9	2.156	48
29.8	2.993	44
42.4	2.132	43

# 4
Structure and computed powder diffractogram of InGe2SbTe5 (the GGA-PBE geometry in the Materials Project; Cu Kα (weighted mean of Kα1 and Kα2)).
Peak positions follow from Bragg's law for the DFT cell and can differ from measured ones.

Structure:
```
9
Lattice="4.265 0.000 0.000 -2.132 3.693 0.000 0.000 0.000 17.831" Properties=species:S:1:pos:R:3 pbc="T T T"
In 0.000 0.000 0.000
Ge 2.132 1.231 3.872
Ge 2.132 1.231 9.907
Sb 0.000 2.462 13.848
Te 0.000 0.000 5.297
Te 0.000 0.000 12.097
Te 0.000 2.462 1.571
Te 0.000 2.462 8.472
Te 2.132 1.231 15.866
```

Peak list (6 most intense, 2θ from 5° to 70°, by intensity)
two_theta	d (Å)	I/Imax
28.5	3.137	100
42.4	2.132	38
38.9	2.315	29
51.8	1.763	19
69.1	1.359	15
43.1	2.097	14